Starting from a crystal structure in the Materials Project, relaxed with PBE, the powder diffractogram of Cs2KPrBr6 was simulated for Cu Ka.
Neutral-atom scattering factors, no anomalous dispersion.

Top 12 peaks for 2θ = 15–90°, by angle:
2θ/deg  I_rel
20.7  43.7
25.4  72.2
29.4  100.0
36.2  19.8
42.0  72.7
49.7  31.7
52.1  25.2
56.6  11.7
60.9  11.6
67.1  12.4
69.1  31.4
76.8  23.0

Crystal structure
```
Cs2KPrBr6
1.0
0.0000 6.0813 6.0813
6.0813 0.0000 6.0813
6.0813 6.0813 0.0000
Cs K Pr Br
2 1 1 6
Direct
0.2500 0.2500 0.2500
0.7500 0.7500 0.7500
0.0000 0.0000 0.0000
0.5000 0.5000 0.5000
0.2611 0.2611 0.7389
0.2611 0.7389 0.2611
0.2611 0.7389 0.7389
0.7389 0.2611 0.2611
0.7389 0.2611 0.7389
0.7389 0.7389 0.2611
```

=====

Starting from a crystal structure in the Materials Project, relaxed with PBE, the powder diffractogram of Th2Se2O was simulated for Cu Ka.
Neutral-atom scattering factors, no anomalous dispersion.

Top 12 peaks for 2θ = 15–90°, by angle:
2θ/deg  I_rel
22.5  18.8
23.0  100.0
27.6  13.9
32.4  30.7
32.8  40.9
40.1  17.5
44.8  24.6
47.1  15.0
51.0  16.9
53.0  21.2
58.3  12.3
67.0  14.9

Crystal structure
```
Th2Se2O
1.0
3.8605 0.0000 0.0000
0.0000 3.8605 0.0000
0.0000 0.0000 11.8739
Th Se O
2 2 1
Direct
0.0000 0.0000 0.1786
0.0000 0.0000 0.8214
0.0000 0.0000 0.4025
0.0000 0.0000 0.5975
0.0000 0.0000 0.0000
```